The following is a computed X-ray powder pattern of SrCaZn4. It was derived from a cell relaxed with GGA-PBE, using λ = 1.5418 Å (Cu Kα).
Peak positions follow from Bragg's law for the DFT cell and can differ from measured ones.

Structure:
```
data_SrCaZn4
_chemical_formula_sum 'Sr2 Ca2 Zn8'
_symmetry_space_group_name_H-M 'P 1'
_symmetry_Int_Tables_number 1
_cell_length_a 4.6823
_cell_length_b 7.6060
_cell_length_c 7.6555
_cell_angle_alpha 90.00
_cell_angle_beta 90.00
_cell_angle_gamma 90.00
loop_
_symmetry_equiv_pos_as_xyz
'x,y,z'
loop_
_atom_site_label
_atom_site_fract_x
_atom_site_fract_y
_atom_site_fract_z
_atom_site_occupancy
Sr1 0.0000 0.0000 0.0000 1
Sr2 0.5000 0.5000 0.5000 1
Ca1 0.0000 0.5000 0.1017 1
Ca2 0.5000 0.0000 0.6017 1
Zn1 0.0000 0.1852 0.3955 1
Zn2 0.0000 0.3141 0.7227 1
Zn3 0.0000 0.6859 0.7227 1
Zn4 0.0000 0.8148 0.3955 1
Zn5 0.5000 0.1859 0.2227 1
Zn6 0.5000 0.3148 0.8955 1
Zn7 0.5000 0.6852 0.8955 1
Zn8 0.5000 0.8141 0.2227 1
```

Main lines, most intense first (5° ≤ 2θ ≤ 70°):
2θ/deg	d/Å	intensity
32.5	2.757	100
40.2	2.241	41
38.5	2.341	32
37.4	2.407	31
33.2	2.698	22
54.7	1.678	19
64.1	1.452	18
16.4	5.396	13
65.8	1.419	12
51.7	1.768	12



The following is a computed X-ray powder pattern of AcTc3B3. It was derived from a cell relaxed with GGA-PBE, using λ = 1.5418 Å (Cu Kα).
Peak positions follow from Bragg's law for the DFT cell and can differ from measured ones.

Structure:
```
data_AcTc3B3
_chemical_formula_sum 'Ac2 Tc6 B6'
_symmetry_space_group_name_H-M 'P 1'
_symmetry_Int_Tables_number 1
_cell_length_a 8.7014
_cell_length_b 8.7014
_cell_length_c 3.0455
_cell_angle_alpha 90.00
_cell_angle_beta 90.00
_cell_angle_gamma 120.00
loop_
_symmetry_equiv_pos_as_xyz
'x,y,z'
loop_
_atom_site_label
_atom_site_fract_x
_atom_site_fract_y
_atom_site_fract_z
_atom_site_occupancy
Ac1 0.3333 0.6667 0.2500 1
Ac2 0.6667 0.3333 0.7500 1
Tc1 0.0281 0.7379 0.7500 1
Tc2 0.2621 0.2902 0.7500 1
Tc3 0.2902 0.0281 0.2500 1
Tc4 0.7098 0.9719 0.7500 1
Tc5 0.7379 0.7098 0.2500 1
Tc6 0.9719 0.2621 0.2500 1
B1 0.0234 0.4683 0.7500 1
B2 0.4448 0.9766 0.7500 1
B3 0.4683 0.4448 0.2500 1
B4 0.5317 0.5552 0.7500 1
B5 0.5552 0.0234 0.2500 1
B6 0.9766 0.5317 0.2500 1
```

Main lines, most intense first (5° ≤ 2θ ≤ 70°):
2θ/deg	d/Å	intensity
35.7	2.512	100
43.5	2.080	80
38.0	2.369	73
23.6	3.768	59
36.0	2.495	58
31.4	2.848	58
61.7	1.503	51
31.7	2.824	49
11.7	7.536	23
53.1	1.723	22



The following is a computed X-ray powder pattern of Ac3PmRu2. It was derived from a cell relaxed with GGA-PBE, using λ = 1.5418 Å (Cu Kα).
Peak positions follow from Bragg's law for the DFT cell and can differ from measured ones.

Structure:
```
data_Ac3PmRu2
_chemical_formula_sum 'Ac6 Pm2 Ru4'
_symmetry_space_group_name_H-M 'P 1'
_symmetry_Int_Tables_number 1
_cell_length_a 4.3006
_cell_length_b 9.1467
_cell_length_c 10.9876
_cell_angle_alpha 79.92
_cell_angle_beta 78.75
_cell_angle_gamma 76.40
loop_
_symmetry_equiv_pos_as_xyz
'x,y,z'
loop_
_atom_site_label
_atom_site_fract_x
_atom_site_fract_y
_atom_site_fract_z
_atom_site_occupancy
Ac1 0.0622 0.0699 0.3070 1
Ac2 0.1845 0.1909 0.9407 1
Ac3 0.3114 0.3198 0.5571 1
Ac4 0.6886 0.6802 0.4429 1
Ac5 0.8155 0.8091 0.0593 1
Ac6 0.9378 0.9301 0.6930 1
Pm1 0.4413 0.4218 0.1949 1
Pm2 0.5587 0.5782 0.8051 1
Ru1 0.1243 0.6209 0.6305 1
Ru2 0.3747 0.8741 0.8767 1
Ru3 0.6253 0.1259 0.1233 1
Ru4 0.8757 0.3791 0.3695 1
```

Main lines, most intense first (5° ≤ 2θ ≤ 70°):
2θ/deg	d/Å	intensity
30.4	2.938	100
25.7	3.468	53
42.1	2.148	43
45.0	2.013	33
52.8	1.734	22
51.3	1.782	17
13.9	6.383	15
28.0	3.192	14
69.6	1.350	13
63.3	1.470	8



The following is a computed X-ray powder pattern of KErCd17. It was derived from a cell relaxed with GGA-PBE, using λ = 1.5418 Å (Cu Kα).
Peak positions follow from Bragg's law for the DFT cell and can differ from measured ones.

Structure:
```
data_KErCd17
_chemical_formula_sum 'K1 Er1 Cd17'
_symmetry_space_group_name_H-M 'P 1'
_symmetry_Int_Tables_number 1
_cell_length_a 7.7556
_cell_length_b 7.7556
_cell_length_c 7.7556
_cell_angle_alpha 82.25
_cell_angle_beta 82.25
_cell_angle_gamma 82.25
loop_
_symmetry_equiv_pos_as_xyz
'x,y,z'
loop_
_atom_site_label
_atom_site_fract_x
_atom_site_fract_y
_atom_site_fract_z
_atom_site_occupancy
K1 0.0000 0.0000 0.0000 1
Er1 0.3361 0.3361 0.3361 1
Cd1 0.0449 0.0449 0.4609 1
Cd2 0.0449 0.4609 0.0449 1
Cd3 0.1413 0.6835 0.6835 1
Cd4 0.3157 0.3157 0.7855 1
Cd5 0.3157 0.7855 0.3157 1
Cd6 0.3674 0.6611 0.9634 1
Cd7 0.3674 0.9634 0.6611 1
Cd8 0.4609 0.0449 0.0449 1
Cd9 0.5557 0.5557 0.5557 1
Cd10 0.6611 0.3674 0.9634 1
Cd11 0.6611 0.9634 0.3674 1
Cd12 0.6835 0.1413 0.6835 1
Cd13 0.6835 0.6835 0.1413 1
Cd14 0.7536 0.7536 0.7536 1
Cd15 0.7855 0.3157 0.3157 1
Cd16 0.9634 0.3674 0.6611 1
Cd17 0.9634 0.6611 0.3674 1
```

Main lines, most intense first (5° ≤ 2θ ≤ 70°):
2θ/deg	d/Å	intensity
35.3	2.545	100
39.6	2.276	37
35.9	2.499	30
30.4	2.945	24
35.6	2.523	20
31.1	2.874	16
63.7	1.461	12
11.6	7.630	12
39.9	2.261	11
63.1	1.472	9



The following is a computed X-ray powder pattern of Ac2In3GaAg4. It was derived from a cell relaxed with GGA-PBE, using λ = 1.5418 Å (Cu Kα).
Peak positions follow from Bragg's law for the DFT cell and can differ from measured ones.

Structure:
```
data_Ac2In3GaAg4
_chemical_formula_sum 'Ac2 In3 Ga1 Ag4'
_symmetry_space_group_name_H-M 'P 1'
_symmetry_Int_Tables_number 1
_cell_length_a 4.7340
_cell_length_b 4.7340
_cell_length_c 11.2980
_cell_angle_alpha 90.00
_cell_angle_beta 90.00
_cell_angle_gamma 90.00
loop_
_symmetry_equiv_pos_as_xyz
'x,y,z'
loop_
_atom_site_label
_atom_site_fract_x
_atom_site_fract_y
_atom_site_fract_z
_atom_site_occupancy
Ac1 0.0000 0.5000 0.2488 1
Ac2 0.5000 0.0000 0.7512 1
In1 0.0000 0.0000 0.0000 1
In2 0.0000 0.5000 0.6323 1
In3 0.5000 0.0000 0.3677 1
Ga1 0.5000 0.5000 0.0000 1
Ag1 0.0000 0.0000 0.5000 1
Ag2 0.0000 0.5000 0.8731 1
Ag3 0.5000 0.0000 0.1269 1
Ag4 0.5000 0.5000 0.5000 1
```

Main lines, most intense first (5° ≤ 2θ ≤ 70°):
2θ/deg	d/Å	intensity
31.1	2.880	100
30.3	2.947	74
38.0	2.367	64
49.4	1.845	38
44.4	2.039	31
59.9	1.545	26
64.4	1.447	24
26.6	3.347	22
54.9	1.674	22
56.0	1.641	14



The following is a computed X-ray powder pattern of KAl4F12. It was derived from a cell relaxed with GGA-PBE, using λ = 1.5418 Å (Cu Kα).
Peak positions follow from Bragg's law for the DFT cell and can differ from measured ones.

Structure:
```
data_KAl4F12
_chemical_formula_sum 'K1 Al4 F12'
_symmetry_space_group_name_H-M 'P 1'
_symmetry_Int_Tables_number 1
_cell_length_a 6.5462
_cell_length_b 6.5462
_cell_length_c 6.5462
_cell_angle_alpha 109.47
_cell_angle_beta 109.47
_cell_angle_gamma 109.47
loop_
_symmetry_equiv_pos_as_xyz
'x,y,z'
loop_
_atom_site_label
_atom_site_fract_x
_atom_site_fract_y
_atom_site_fract_z
_atom_site_occupancy
K1 0.0000 0.0000 0.0000 1
Al1 0.0000 0.0000 0.5000 1
Al2 0.0000 0.5000 0.0000 1
Al3 0.5000 0.0000 0.0000 1
Al4 0.5000 0.5000 0.5000 1
F1 0.0026 0.7526 0.2500 1
F2 0.2474 0.2500 0.4975 1
F3 0.2474 0.7500 0.9974 1
F4 0.2500 0.0026 0.7526 1
F5 0.2500 0.4975 0.2474 1
F6 0.4975 0.2474 0.2500 1
F7 0.5025 0.7526 0.7500 1
F8 0.7500 0.5025 0.7526 1
F9 0.7500 0.9974 0.2474 1
F10 0.7526 0.2500 0.0026 1
F11 0.7526 0.7500 0.5025 1
F12 0.9974 0.2474 0.7500 1
```

Main lines, most intense first (5° ≤ 2θ ≤ 70°):
2θ/deg	d/Å	intensity
23.5	3.779	100
48.2	1.890	80
16.6	5.345	38
41.4	2.182	33
54.3	1.690	33
33.5	2.672	16
28.9	3.086	16
44.9	2.020	10
60.0	1.543	8
37.6	2.390	8



The following is a computed X-ray powder pattern of Hf5Hg3. It was derived from a cell relaxed with GGA-PBE, using λ = 1.5418 Å (Cu Kα).
Peak positions follow from Bragg's law for the DFT cell and can differ from measured ones.

Structure:
```
data_Hf5Hg3
_chemical_formula_sum 'Hf5 Hg3'
_symmetry_space_group_name_H-M 'P 1'
_symmetry_Int_Tables_number 1
_cell_length_a 3.2628
_cell_length_b 3.2628
_cell_length_c 16.2637
_cell_angle_alpha 90.00
_cell_angle_beta 90.00
_cell_angle_gamma 90.00
loop_
_symmetry_equiv_pos_as_xyz
'x,y,z'
loop_
_atom_site_label
_atom_site_fract_x
_atom_site_fract_y
_atom_site_fract_z
_atom_site_occupancy
Hf1 0.0000 0.0000 0.0000 1
Hf2 0.0000 0.0000 0.2497 1
Hf3 0.0000 0.0000 0.7503 1
Hf4 0.5000 0.5000 0.3744 1
Hf5 0.5000 0.5000 0.6256 1
Hg1 0.0000 0.0000 0.5000 1
Hg2 0.5000 0.5000 0.1232 1
Hg3 0.5000 0.5000 0.8768 1
```

Main lines, most intense first (5° ≤ 2θ ≤ 70°):
2θ/deg	d/Å	intensity
35.3	2.545	100
39.0	2.307	38
68.3	1.373	30
60.7	1.525	21
56.4	1.631	13
44.6	2.033	13



The following is a computed X-ray powder pattern of BeNb4As. It was derived from a cell relaxed with GGA-PBE, using λ = 1.5418 Å (Cu Kα).
Peak positions follow from Bragg's law for the DFT cell and can differ from measured ones.

Structure:
```
data_BeNb4As
_chemical_formula_sum 'Be2 Nb8 As2'
_symmetry_space_group_name_H-M 'P 1'
_symmetry_Int_Tables_number 1
_cell_length_a 6.1010
_cell_length_b 6.1010
_cell_length_c 5.2112
_cell_angle_alpha 90.00
_cell_angle_beta 90.00
_cell_angle_gamma 90.00
loop_
_symmetry_equiv_pos_as_xyz
'x,y,z'
loop_
_atom_site_label
_atom_site_fract_x
_atom_site_fract_y
_atom_site_fract_z
_atom_site_occupancy
Be1 0.0000 0.0000 0.2500 1
Be2 0.0000 0.0000 0.7500 1
Nb1 0.1481 0.3236 0.0000 1
Nb2 0.1481 0.6764 0.5000 1
Nb3 0.3236 0.1481 0.5000 1
Nb4 0.3236 0.8519 0.0000 1
Nb5 0.6764 0.1481 0.0000 1
Nb6 0.6764 0.8519 0.5000 1
Nb7 0.8519 0.3236 0.5000 1
Nb8 0.8519 0.6764 0.0000 1
As1 0.5000 0.5000 0.2500 1
As2 0.5000 0.5000 0.7500 1
```

Main lines, most intense first (5° ≤ 2θ ≤ 70°):
2θ/deg	d/Å	intensity
37.2	2.417	100
47.1	1.929	23
45.8	1.981	21
63.5	1.465	20
34.4	2.606	17
40.4	2.230	17
65.6	1.423	13
32.8	2.728	11
37.5	2.396	6
14.5	6.101	5



The following is a computed X-ray powder pattern of ErAsN. It was derived from a cell relaxed with GGA-PBE, using λ = 1.5418 Å (Cu Kα).
Peak positions follow from Bragg's law for the DFT cell and can differ from measured ones.

Structure:
```
data_ErAsN
_chemical_formula_sum 'Er2 As2 N2'
_symmetry_space_group_name_H-M 'P 1'
_symmetry_Int_Tables_number 1
_cell_length_a 9.1651
_cell_length_b 9.1651
_cell_length_c 9.1651
_cell_angle_alpha 24.42
_cell_angle_beta 24.42
_cell_angle_gamma 24.42
loop_
_symmetry_equiv_pos_as_xyz
'x,y,z'
loop_
_atom_site_label
_atom_site_fract_x
_atom_site_fract_y
_atom_site_fract_z
_atom_site_occupancy
Er1 0.2127 0.2127 0.2127 1
Er2 0.7873 0.7873 0.7873 1
As1 0.3577 0.3577 0.3577 1
As2 0.6423 0.6423 0.6423 1
N1 0.1277 0.1277 0.1277 1
N2 0.8723 0.8723 0.8723 1
```

Main lines, most intense first (5° ≤ 2θ ≤ 70°):
2θ/deg	d/Å	intensity
27.4	3.255	100
35.6	2.518	100
31.5	2.841	68
46.9	1.938	56
55.5	1.656	31
10.0	8.888	28
30.2	2.963	26
56.8	1.622	26
63.7	1.461	24
60.3	1.536	22



The following is a computed X-ray powder pattern of CeY9Ho4. It was derived from a cell relaxed with GGA-PBE, using λ = 1.5418 Å (Cu Kα).
Peak positions follow from Bragg's law for the DFT cell and can differ from measured ones.

Structure:
```
data_CeY9Ho4
_chemical_formula_sum 'Ce2 Y18 Ho8'
_symmetry_space_group_name_H-M 'P 1'
_symmetry_Int_Tables_number 1
_cell_length_a 9.7112
_cell_length_b 9.7112
_cell_length_c 11.2126
_cell_angle_alpha 90.00
_cell_angle_beta 90.00
_cell_angle_gamma 120.00
loop_
_symmetry_equiv_pos_as_xyz
'x,y,z'
loop_
_atom_site_label
_atom_site_fract_x
_atom_site_fract_y
_atom_site_fract_z
_atom_site_occupancy
Ce1 0.3333 0.6667 0.2500 1
Ce2 0.6667 0.3333 0.7500 1
Y1 0.0802 0.5401 0.7500 1
Y2 0.2096 0.4192 0.0305 1
Y3 0.2096 0.4192 0.4695 1
Y4 0.2096 0.7904 0.0305 1
Y5 0.2096 0.7904 0.4695 1
Y6 0.4192 0.2096 0.5305 1
Y7 0.4192 0.2096 0.9695 1
Y8 0.4599 0.5401 0.7500 1
Y9 0.4599 0.9198 0.7500 1
Y10 0.5401 0.0802 0.2500 1
Y11 0.5401 0.4599 0.2500 1
Y12 0.5808 0.7904 0.0305 1
Y13 0.5808 0.7904 0.4695 1
Y14 0.7904 0.2096 0.5305 1
Y15 0.7904 0.2096 0.9695 1
Y16 0.7904 0.5808 0.5305 1
Y17 0.7904 0.5808 0.9695 1
Y18 0.9198 0.4599 0.2500 1
Ho1 0.0000 0.0000 0.0000 1
Ho2 0.0000 0.0000 0.5000 1
Ho3 0.1114 0.2228 0.7500 1
Ho4 0.1114 0.8886 0.7500 1
Ho5 0.2228 0.1114 0.2500 1
Ho6 0.7772 0.8886 0.7500 1
Ho7 0.8886 0.1114 0.2500 1
Ho8 0.8886 0.7772 0.2500 1
```

Main lines, most intense first (5° ≤ 2θ ≤ 70°):
2θ/deg	d/Å	intensity
32.4	2.765	100
32.9	2.720	42
31.9	2.803	35
57.2	1.611	28
32.0	2.794	27
66.8	1.401	27
10.5	8.410	23
52.2	1.751	21
22.6	3.937	20
56.9	1.618	20



The following is a computed X-ray powder pattern of ZrIn3Br7. It was derived from a cell relaxed with GGA-PBE, using λ = 1.5418 Å (Cu Kα).
Peak positions follow from Bragg's law for the DFT cell and can differ from measured ones.

Structure:
```
data_ZrIn3Br7
_chemical_formula_sum 'Zr1 In3 Br7'
_symmetry_space_group_name_H-M 'P 1'
_symmetry_Int_Tables_number 1
_cell_length_a 7.5710
_cell_length_b 7.5710
_cell_length_c 8.5784
_cell_angle_alpha 112.64
_cell_angle_beta 112.64
_cell_angle_gamma 79.00
loop_
_symmetry_equiv_pos_as_xyz
'x,y,z'
loop_
_atom_site_label
_atom_site_fract_x
_atom_site_fract_y
_atom_site_fract_z
_atom_site_occupancy
Zr1 0.0000 0.0000 0.0000 1
In1 0.2019 0.7993 0.5056 1
In2 0.4980 0.4980 0.9385 1
In3 0.7993 0.2019 0.5056 1
Br1 0.0513 0.6653 0.7514 1
Br2 0.1719 0.1719 0.8818 1
Br3 0.3325 0.9319 0.2301 1
Br4 0.4973 0.4973 0.5802 1
Br5 0.6653 0.0513 0.7514 1
Br6 0.8266 0.8266 0.1132 1
Br7 0.9319 0.3325 0.2301 1
```

Main lines, most intense first (5° ≤ 2θ ≤ 70°):
2θ/deg	d/Å	intensity
31.3	2.859	100
22.0	4.042	89
31.9	2.809	67
17.5	5.063	59
33.3	2.691	58
36.4	2.467	51
21.5	4.139	40
36.5	2.459	38
29.2	3.060	36
52.8	1.734	34



The following is a computed X-ray powder pattern of ErAuBr6. It was derived from a cell relaxed with GGA-PBE, using λ = 1.5418 Å (Cu Kα).
Peak positions follow from Bragg's law for the DFT cell and can differ from measured ones.

Structure:
```
data_ErAuBr6
_chemical_formula_sum 'Er1 Au1 Br6'
_symmetry_space_group_name_H-M 'P 1'
_symmetry_Int_Tables_number 1
_cell_length_a 5.9052
_cell_length_b 7.2911
_cell_length_c 7.9939
_cell_angle_alpha 67.03
_cell_angle_beta 71.94
_cell_angle_gamma 86.58
loop_
_symmetry_equiv_pos_as_xyz
'x,y,z'
loop_
_atom_site_label
_atom_site_fract_x
_atom_site_fract_y
_atom_site_fract_z
_atom_site_occupancy
Er1 0.0000 0.0000 0.0000 1
Au1 0.5000 0.5000 0.0000 1
Br1 0.0213 0.8113 0.3542 1
Br2 0.2851 0.3698 0.8351 1
Br3 0.4057 0.8405 0.8079 1
Br4 0.5943 0.1595 0.1921 1
Br5 0.7149 0.6302 0.1649 1
Br6 0.9787 0.1887 0.6458 1
```

Main lines, most intense first (5° ≤ 2θ ≤ 70°):
2θ/deg	d/Å	intensity
12.7	6.993	100
23.6	3.775	63
19.0	4.678	43
19.9	4.452	34
23.2	3.827	26
21.4	4.155	24
42.4	2.131	21
33.9	2.644	21
44.2	2.050	18
47.8	1.903	18



The following is a computed X-ray powder pattern of CsCe2Br6. It was derived from a cell relaxed with GGA-PBE, using λ = 1.5418 Å (Cu Kα).
Peak positions follow from Bragg's law for the DFT cell and can differ from measured ones.

Structure:
```
data_CsCe2Br6
_chemical_formula_sum 'Cs1 Ce2 Br6'
_symmetry_space_group_name_H-M 'P 1'
_symmetry_Int_Tables_number 1
_cell_length_a 7.6896
_cell_length_b 7.6896
_cell_length_c 8.1254
_cell_angle_alpha 90.00
_cell_angle_beta 90.00
_cell_angle_gamma 120.00
loop_
_symmetry_equiv_pos_as_xyz
'x,y,z'
loop_
_atom_site_label
_atom_site_fract_x
_atom_site_fract_y
_atom_site_fract_z
_atom_site_occupancy
Cs1 0.0000 0.0000 0.0000 1
Ce1 0.3333 0.6667 0.5000 1
Ce2 0.6667 0.3333 0.5000 1
Br1 0.0000 0.3729 0.7160 1
Br2 0.0000 0.6271 0.2840 1
Br3 0.3729 0.0000 0.7160 1
Br4 0.3729 0.3729 0.2840 1
Br5 0.6271 0.0000 0.2840 1
Br6 0.6271 0.6271 0.7160 1
```

Main lines, most intense first (5° ≤ 2θ ≤ 70°):
2θ/deg	d/Å	intensity
32.1	2.793	100
17.2	5.151	90
25.6	3.475	72
40.6	2.220	41
10.9	8.125	33
37.4	2.404	30
40.8	2.214	23
52.7	1.738	20
68.6	1.368	19
50.7	1.801	18